No. 1
LiNiPO4: theoretical X-ray diffraction stick pattern (Cu Kα (λ = 1.5418 Å)), based on a structure optimized by DFT (PBE+U).

Structural model:
```
data_LiNiPO4
_symmetry_space_group_name_H-M 'P 63'
_symmetry_Int_Tables_number 173
_cell_length_a 8.3777
_cell_length_b 8.3777
_cell_length_c 7.4837
_cell_angle_alpha 90.00
_cell_angle_beta 90.00
_cell_angle_gamma 120.00
loop_
_symmetry_equiv_pos_as_xyz
'x,y,z'
'x-y,x,z+1/2'
'-y,x-y,z'
'-x,-y,z+1/2'
'-x+y,-x,z'
'y,-x+y,z+1/2'
loop_
_atom_site_label
_atom_site_fract_x
_atom_site_fract_y
_atom_site_fract_z
Li1 0.0141 0.6824 0.0000
Ni1 0.0000 0.0000 0.2312
Ni2 0.3333 0.6667 0.2965
Ni3 0.3333 0.6667 0.8993
P1 0.0383 0.6747 0.6033
O1 0.0713 0.2196 0.0996
O2 0.1118 0.5334 0.0955
O3 0.1471 0.7221 0.7797
O4 0.1733 0.7407 0.4449
```

Peak list (10 most intense, 15° ≤ 2θ ≤ 90°, in order of falling intensity)
Position (°2θ)  I_rel
32.1  1000
24.4  868
21.2  835
37.2  573
26.8  480
34.4  343
49.9  289
58.3  271
44.1  266
59.0  258

No. 2
LiNiPO4: theoretical X-ray diffraction stick pattern (Cu Kα (λ = 1.5418 Å)), based on a structure optimized by DFT (PBE+U).

Structural model:
```
data_LiNiPO4
_symmetry_space_group_name_H-M 'P 1 21 1'
_symmetry_Int_Tables_number 4
_cell_length_a 4.7096
_cell_length_b 9.7960
_cell_length_c 6.6955
_cell_angle_alpha 90.00
_cell_angle_beta 90.35
_cell_angle_gamma 90.00
loop_
_symmetry_equiv_pos_as_xyz
'x,y,z'
'-x,y+1/2,-z'
loop_
_atom_site_label
_atom_site_fract_x
_atom_site_fract_y
_atom_site_fract_z
Li1 0.2062 0.0000 0.2245
Li2 0.2574 0.0632 0.7645
Ni1 0.2595 0.3457 0.0331
Ni2 0.2836 0.7732 0.5333
P1 0.2227 0.6637 0.9700
P2 0.2927 0.4578 0.4764
O1 0.0346 0.9487 0.5242
O2 0.0873 0.5333 0.0614
O3 0.1098 0.6664 0.7514
O4 0.1124 0.7940 0.0795
O5 0.4091 0.6018 0.4232
O6 0.4224 0.3663 0.3007
O7 0.4330 0.3972 0.6668
O8 0.4481 0.1574 0.0119
```

Peak list (10 most intense, 15° ≤ 2θ ≤ 90°, in order of falling intensity)
Position (°2θ)  I_rel
26.6  1000
20.9  919
36.0  793
18.1  468
24.8  402
24.9  399
33.4  381
16.0  256
39.2  228
58.2  225

No. 3
Li2NiP2O7: theoretical X-ray diffraction stick pattern (Cu Kα (λ = 1.5418 Å)), based on a structure optimized by DFT (PBE+U).

Structural model:
```
data_Li2NiP2O7
_symmetry_space_group_name_H-M 'P 1 21/c 1'
_symmetry_Int_Tables_number 14
_cell_length_a 8.1274
_cell_length_b 5.0383
_cell_length_c 13.7775
_cell_angle_alpha 90.00
_cell_angle_beta 111.11
_cell_angle_gamma 90.00
loop_
_symmetry_equiv_pos_as_xyz
'x,y,z'
'-x,-y,-z'
'-x,y+1/2,-z+1/2'
'x,-y+1/2,z+1/2'
loop_
_atom_site_label
_atom_site_fract_x
_atom_site_fract_y
_atom_site_fract_z
Li1 0.0171 0.2064 0.1705
Li2 0.4261 0.2336 0.1601
Ni1 0.2798 0.2306 0.8670
P1 0.1831 0.7220 0.1945
P2 0.3034 0.7262 0.0206
O1 0.0035 0.2481 0.8045
O2 0.1534 0.7287 0.5733
O3 0.2212 0.6312 0.4171
O4 0.2507 0.0646 0.7179
O5 0.3112 0.5695 0.7613
O6 0.3216 0.0733 0.5085
O7 0.4664 0.6383 0.5972
```

Peak list (10 most intense, 15° ≤ 2θ ≤ 90°, in order of falling intensity)
Position (°2θ)  I_rel
22.4  1000
23.5  665
31.5  464
35.6  239
39.4  237
36.3  152
33.1  112
29.5  93
34.3  93
49.6  89

No. 4
Li2NiP2O7: theoretical X-ray diffraction stick pattern (Cu Kα (λ = 1.5418 Å)), based on a structure optimized by DFT (PBE+U).

Structural model:
```
data_Li2NiP2O7
_symmetry_space_group_name_H-M 'P -1'
_symmetry_Int_Tables_number 2
_cell_length_a 5.1670
_cell_length_b 6.1815
_cell_length_c 8.6628
_cell_angle_alpha 71.54
_cell_angle_beta 87.11
_cell_angle_gamma 85.21
loop_
_symmetry_equiv_pos_as_xyz
'x,y,z'
'-x,-y,-z'
loop_
_atom_site_label
_atom_site_fract_x
_atom_site_fract_y
_atom_site_fract_z
Li1 0.2046 0.0570 0.3430
Li2 0.2934 0.2091 0.9592
Ni1 0.2589 0.5633 0.2336
P1 0.2110 0.7390 0.8510
P2 0.2856 0.2065 0.6302
O1 0.0819 0.3026 0.1397
O2 0.0904 0.2894 0.7393
O3 0.2344 0.9340 0.6695
O4 0.2401 0.2934 0.4480
O5 0.2875 0.8381 0.9830
O6 0.3919 0.5399 0.8395
O7 0.4319 0.7952 0.3206
```

Peak list (10 most intense, 15° ≤ 2θ ≤ 90°, in order of falling intensity)
Position (°2θ)  I_rel
24.3  1000
22.3  723
21.6  539
30.3  518
34.9  400
15.1  346
32.6  244
40.5  228
35.1  209
40.0  169